Entry 1:
Calculated X-ray powder pattern of AgPt for Cu Kα X-rays, from a structure optimized by DFT (GGA-PBE).
Peak positions follow from Bragg's law for the DFT cell and can differ from measured ones.

Most intense lines, 2θ = 10–90°, low angle first:
2θ 21.2, rel. 41, (0 2 0); 2θ 24.6, rel. 21, (1 1 1); 2θ 34.3, rel. 37, (2 2 0); 2θ 38.9, rel. 89, (2 2 1); 2θ 39.3, rel. 100, (1 3 1); 2θ 39.8, rel. 94, (1 1 2); 2θ 42.0, rel. 76, (3 1 0); 2θ 43.2, rel. 22, (0 4 0); 2θ 45.2, rel. 42, (2 0 2); 2θ 66.6, rel. 21, (1 3 3); 2θ 70.3, rel. 19, (3 5 0); 2θ 71.5, rel. 18, (4 2 2)

Cell and atoms:
a = 6.6775 Å, b = 8.3860 Å, c = 5.0201 Å
α = 90.00°, β = 90.00°, γ = 90.00°
Space group C222_1 (No. 20)
Unique sites:
Ag 0.1826 0.1922 0.4895 x8
Pt 0.0000 0.4723 0.2500 x4
Pt 0.1443 0.0000 0.0000 x4



Entry 2:
Calculated X-ray powder pattern of Ag5Pt7 for Cu Kα X-rays, from a structure optimized by DFT (GGA-PBE).
Peak positions follow from Bragg's law for the DFT cell and can differ from measured ones.

Most intense lines, 2θ = 10–90°, low angle first:
2θ 10.8, rel. 13, (0 0 1); 2θ 38.5, rel. 100, (0 3 2); 2θ 38.9, rel. 97, (1 0 2); 2θ 44.2, rel. 32, (0 0 4); 2θ 45.4, rel. 63, (1 3 0); 2θ 65.2, rel. 40, (1 3 4); 2θ 65.5, rel. 10, (0 6 0); 2θ 77.5, rel. 12, (0 3 6); 2θ 77.8, rel. 11, (1 0 6); 2θ 78.9, rel. 24, (1 6 2); 2θ 79.7, rel. 24, (2 3 2); 2θ 82.5, rel. 11, (0 6 4)

Cell and atoms:
a = 2.8038 Å, b = 8.5470 Å, c = 8.1977 Å
α = 90.00°, β = 90.00°, γ = 90.00°
Space group Pmm2 (No. 25)
Unique sites:
Ag 0.0000 0.0000 0.0000 x1
Ag 0.0000 0.3391 0.4961 x2
Ag 0.5000 0.1648 0.2547 x2
Pt 0.0000 0.0000 0.5173 x1
Pt 0.0000 0.3296 0.9938 x2
Pt 0.5000 0.1698 0.7508 x2
Pt 0.5000 0.5000 0.2285 x1
Pt 0.5000 0.5000 0.7546 x1